1.
The following is a simulated X-ray diffraction stick pattern of Mg2H2Br3. It was derived from a structure optimized by DFT (PBE), using λ = 1.5418 Å (Cu Kα).

Largest 10 diffraction maxima, in order of rising 2θ, 2θ = 10–80°:
2theta  d (Å)  I (rel.)
15.65  5.664  265
25.12  3.545  335
29.14  3.064  266
29.32  3.047  321
30.60  2.922  516
31.87  2.808  1000
39.79  2.265  226
43.75  2.069  185
43.87  2.064  226
51.97  1.760  202

Structure:
```
14
Lattice="13.240 0.000 0.000 0.000 3.823 0.000 -2.313 0.000 5.664" Properties=species:S:1:pos:R:3 pbc="T T T"
Mg 0.727 0.000 1.740
Mg 3.579 1.912 3.924
Mg 7.347 1.912 1.740
Mg 10.199 0.000 3.924
H 0.000 1.485 0.000
H 0.000 2.338 0.000
H 6.620 0.427 0.000
H 6.620 3.397 0.000
Br -1.157 1.912 2.832
Br 2.528 1.912 1.365
Br 1.778 0.000 4.299
Br 5.463 0.000 2.832
Br 9.148 0.000 1.365
Br 8.398 1.912 4.299
```

2.
The following is a simulated X-ray diffraction stick pattern of Na2MgH2Br2. It was derived from a structure optimized by DFT (PBE), using λ = 1.5418 Å (Cu Kα).

Largest 10 diffraction maxima, in order of rising 2θ, 2θ = 10–80°:
2theta  d (Å)  I (rel.)
21.24  4.183  350
22.71  3.915  493
27.32  3.265  587
31.42  2.848  1000
32.10  2.788  272
34.86  2.574  404
38.24  2.354  332
45.02  2.014  373
45.53  1.992  377
54.36  1.688  224

Structure:
```
14
Lattice="4.027 0.000 0.000 0.000 4.027 0.000 0.000 0.000 16.730" Properties=species:S:1:pos:R:3 pbc="T T T"
Na 0.000 0.000 1.999
Na 0.000 0.000 14.732
Na 2.014 2.014 6.366
Na 2.014 2.014 10.364
Mg 0.000 0.000 8.365
Mg 2.014 2.014 0.000
H 0.000 2.014 0.000
H 0.000 2.014 8.365
H 2.014 0.000 0.000
H 2.014 0.000 8.365
Br 0.000 0.000 5.669
Br 0.000 0.000 11.061
Br 2.014 2.014 2.696
Br 2.014 2.014 14.034
```

3.
The following is a simulated X-ray diffraction stick pattern of Rb2MgH2Br2. It was derived from a structure optimized by DFT (PBE), using λ = 1.5418 Å (Cu Kα).

Largest 10 diffraction maxima, in order of rising 2θ, 2θ = 10–80°:
2theta  d (Å)  I (rel.)
21.07  4.217  473
27.39  3.256  1000
32.91  2.721  364
34.81  2.577  547
39.13  2.302  389
44.85  2.021  253
52.03  1.758  192
52.73  1.736  152
63.94  1.456  197
68.13  1.376  148

Structure:
```
14
Lattice="4.605 0.000 0.000 0.000 4.605 0.000 0.000 0.000 16.867" Properties=species:S:1:pos:R:3 pbc="T T T"
Rb 0.000 0.000 2.087
Rb 0.000 0.000 14.780
Rb 2.302 2.302 6.346
Rb 2.302 2.302 10.520
Mg 0.000 0.000 8.433
Mg 2.302 2.302 0.000
H 0.000 2.302 0.000
H 0.000 2.302 8.433
H 2.302 0.000 0.000
H 2.302 0.000 8.433
Br 0.000 0.000 5.761
Br 0.000 0.000 11.106
Br 2.302 2.302 2.672
Br 2.302 2.302 14.194
```